Computed PXRD pattern of Y2ErHfP4 for Cu Kα, 1.54184 Å, from a crystal structure in Alexandria, relaxed with PBE.

Crystal structure
abc: 6.775 3.906 6.780
angles: 90.00 109.25 90.00
Space group P2/m (No. 10)
One atom of each set of equivalent atoms:
Y1 0.000 0.000 0.000 x1
Y2 0.500 0.500 0.000 x1
Er1 0.000 0.500 0.500 x1
Hf1 0.500 0.000 0.500 x1
P1 0.255 0.000 0.740 x2
P2 0.263 0.500 0.265 x2

Most intense lines, 15° ≤ 2θ ≤ 90°, in order of rising 2θ:
(0 0 2), 2θ = 27.93°, d = 3.194 Å, I 74
(1 1 1), 2θ = 32.36°, d = 2.766 Å, I 100
(0 2 0), 2θ = 46.45°, d = 1.955 Å, I 60
(2 0 -4), 2θ = 55.10°, d = 1.667 Å, I 23
(2 2 -2), 2θ = 57.81°, d = 1.595 Å, I 12
(1 3 1), 2θ = 77.18°, d = 1.236 Å, I 16